(1)
Diffraction record for Ba2SnIrS6. The powder diffractogram is computed, not measured: it uses a crystal structure in OQMD, relaxed with GGA-PBE and Cu Kα.
Intensities are scaled so that the largest is 100.

Crystal structure
```
data_Ba2SnIrS6
_chemical_formula_sum 'Ba8 Sn4 Ir4 S24'
_cell_length_a 9.906
_cell_length_b 9.906
_cell_length_c 9.906
_cell_angle_alpha 90.00
_cell_angle_beta 90.00
_cell_angle_gamma 90.00
_symmetry_space_group_name_H-M 'F m -3 m'
_symmetry_Int_Tables_number 225
_symmetry_space_group_name_Hall '-F 4 2 3'
loop_
_atom_site_label
_atom_site_type_symbol
_atom_site_fract_x
_atom_site_fract_y
_atom_site_fract_z
_atom_site_occupancy
Ba1 Ba 0.250 0.250 0.250 1
Sn1 Sn 0.000 0.000 0.000 1
Ir1 Ir 0.000 0.000 0.500 1
S1 S 0.000 0.000 0.260 1
```

Main lines, by intensity (2θ from 10° to 90°):
(2 2 0), 2θ = 25.4°, 3.502 Å, I 100
(4 0 0), 2θ = 36.3°, 2.476 Å, I 46
(4 2 2), 2θ = 44.8°, 2.022 Å, I 45
(4 4 0), 2θ = 52.2°, 1.751 Å, I 31
(6 4 2), 2θ = 71.2°, 1.324 Å, I 24
(6 2 0), 2θ = 59.0°, 1.566 Å, I 21
(8 4 0), 2θ = 88.2°, 1.108 Å, I 15
(6 6 0), 2θ = 82.7°, 1.167 Å, I 12

=====

(2)
Diffraction record for Gd3GaNiSe7. The powder diffractogram is computed, not measured: it uses a crystal structure in OQMD, relaxed with GGA-PBE and Cu Kα.
Intensities are scaled so that the largest is 100.

Crystal structure
```
data_Gd3GaNiSe7
_chemical_formula_sum 'Gd6 Ga2 Ni2 Se14'
_cell_length_a 10.0505
_cell_length_b 10.0505
_cell_length_c 6.5257
_cell_angle_alpha 90.00
_cell_angle_beta 90.00
_cell_angle_gamma 120.00
_symmetry_space_group_name_H-M 'P 63'
_symmetry_Int_Tables_number 173
_symmetry_space_group_name_Hall 'P 6c'
loop_
_atom_site_label
_atom_site_type_symbol
_atom_site_fract_x
_atom_site_fract_y
_atom_site_fract_z
_atom_site_occupancy
Gd1 Gd 0.1600 0.3744 0.0000 1
Ga1 Ga 0.3333 0.6667 0.5759 1
Ni1 Ni 0.0000 0.0000 0.1762 1
Se1 Se 0.0823 0.5613 0.7304 1
Se2 Se 0.1027 0.2333 0.4094 1
Se3 Se 0.3333 0.6667 0.2069 1
```

Main lines, by intensity (2θ from 10° to 90°):
(2 0 2), 2θ = 34.4°, 2.611 Å, I 100
(2 0 1), 2θ = 24.6°, 3.621 Å, I 100
(2 2 0), 2θ = 35.7°, 2.513 Å, I 97
(3 0 1), 2θ = 33.8°, 2.651 Å, I 90
(1 2 1), 2θ = 30.4°, 2.938 Å, I 78
(2 0 3), 2θ = 46.7°, 1.946 Å, I 54
(1 2 2), 2θ = 38.9°, 2.317 Å, I 44
(3 1 1), 2θ = 39.8°, 2.264 Å, I 35

=====

(3)
Diffraction record for Ho2TmAl2Cd4. The powder diffractogram is computed, not measured: it uses a crystal structure in OQMD, relaxed with GGA-PBE and Cu Kα.
Intensities are scaled so that the largest is 100.

Crystal structure
```
data_Ho2TmAl2Cd4
_chemical_formula_sum 'Ho4 Tm2 Al4 Cd8'
_cell_length_a 4.538
_cell_length_b 12.554
_cell_length_c 7.269
_cell_angle_alpha 90.00
_cell_angle_beta 90.00
_cell_angle_gamma 90.00
_symmetry_space_group_name_H-M 'A m m 2'
_symmetry_Int_Tables_number 38
_symmetry_space_group_name_Hall 'A 2 -2'
loop_
_atom_site_label
_atom_site_type_symbol
_atom_site_fract_x
_atom_site_fract_y
_atom_site_fract_z
_atom_site_occupancy
Ho1 Ho 0.000 0.215 0.000 1
Tm1 Tm 0.000 0.000 0.647 1
Al1 Al 0.500 0.166 0.716 1
Cd1 Cd 0.000 0.000 0.217 1
Cd2 Cd 0.500 0.000 0.965 1
Cd3 Cd 0.500 0.126 0.342 1
```

Main lines, by intensity (2θ from 10° to 90°):
(1 4 0), 2θ = 34.7°, 2.584 Å, I 100
(1 3 1), 2θ = 31.6°, 2.834 Å, I 79
(0 1 3), 2θ = 37.9°, 2.376 Å, I 41
(2 0 0), 2θ = 39.7°, 2.269 Å, I 29
(0 4 0), 2θ = 28.4°, 3.143 Å, I 26
(2 1 3), 2θ = 56.0°, 1.641 Å, I 26
(1 5 3), 2θ = 56.5°, 1.628 Å, I 15
(1 8 2), 2θ = 68.3°, 1.373 Å, I 13

=====

(4)
Diffraction record for Nd2S3. The powder diffractogram is computed, not measured: it uses a crystal structure in OQMD, relaxed with GGA-PBE and Cu Kα.
Intensities are scaled so that the largest is 100.

Crystal structure
```
data_Nd2S3
_chemical_formula_sum 'Nd8 S12'
_cell_length_a 7.499
_cell_length_b 4.054
_cell_length_c 15.642
_cell_angle_alpha 90.00
_cell_angle_beta 90.00
_cell_angle_gamma 90.00
_symmetry_space_group_name_H-M 'P n m a'
_symmetry_Int_Tables_number 62
_symmetry_space_group_name_Hall '-P 2ac 2n'
loop_
_atom_site_label
_atom_site_type_symbol
_atom_site_fract_x
_atom_site_fract_y
_atom_site_fract_z
_atom_site_occupancy
Nd1 Nd 0.145 0.250 0.204 1
Nd2 Nd 0.235 0.750 0.456 1
S1 S 0.009 0.250 0.391 1
S2 S 0.126 0.750 0.067 1
S3 S 0.146 0.250 0.781 1
```

Main lines, by intensity (2θ from 10° to 90°):
(1 0 4), 2θ = 25.7°, 3.473 Å, I 100
(2 1 2), 2θ = 34.5°, 2.596 Å, I 41
(0 1 3), 2θ = 27.9°, 3.200 Å, I 30
(1 1 5), 2θ = 38.3°, 2.352 Å, I 26
(2 0 1), 2θ = 24.4°, 3.646 Å, I 22
(2 1 3), 2θ = 36.9°, 2.434 Å, I 21
(3 1 1), 2θ = 42.9°, 2.107 Å, I 21
(0 2 0), 2θ = 44.7°, 2.027 Å, I 20